Er2CN2O2: simulated powder X-ray diffraction pattern (Cu Ka), based on a structure optimized by DFT (GGA-PBE).
No peak broadening, texture or thermal motion is included.

Peak list (10 most intense, 2θ = 10–90°, low angle first)
10.84 deg, intensity 53; 21.78 deg, intensity 18; 27.92 deg, intensity 17; 30.03 deg, intensity 100; 32.92 deg, intensity 19; 35.68 deg, intensity 45; 43.70 deg, intensity 20; 49.39 deg, intensity 28; 53.27 deg, intensity 25; 60.64 deg, intensity 20

Structure:
Unit cell a=3.6903 b=3.6903 c=8.1612 alpha=90.00 beta=90.00 gamma=120.00
Positions (direct):
Er 0.3333 0.6667 0.1763
Er 0.6667 0.3333 0.8237
C 0.0000 0.0000 0.5000
N 0.0000 0.0000 0.3486
N 0.0000 0.0000 0.6514
O 0.3333 0.6667 0.8972
O 0.6667 0.3333 0.1028



LaPrDy3Y: simulated powder X-ray diffraction pattern (Cu Ka), based on a structure optimized by DFT (GGA-PBE).
No peak broadening, texture or thermal motion is included.

Peak list (10 most intense, 2θ = 10–90°, low angle first)
30.05 deg, intensity 59; 31.76 deg, intensity 100; 43.01 deg, intensity 22; 47.96 deg, intensity 8; 54.45 deg, intensity 43; 57.64 deg, intensity 18; 66.37 deg, intensity 11; 70.85 deg, intensity 10; 71.78 deg, intensity 9; 87.49 deg, intensity 12

Structure:
Unit cell a=6.4213 b=6.4213 c=11.8946 alpha=90.00 beta=90.00 gamma=124.81
Positions (direct):
La 0.0015 0.9985 0.7500
La 0.9985 0.0015 0.2500
Pr 0.5000 0.5000 0.0000
Pr 0.5000 0.5000 0.5000
Dy 0.1748 0.8252 0.0013
Dy 0.1748 0.8252 0.4987
Dy 0.3275 0.6725 0.2500
Dy 0.6725 0.3275 0.7500
Dy 0.8252 0.1748 0.5013
Dy 0.8252 0.1748 0.9987
Y 0.3272 0.6728 0.7500
Y 0.6728 0.3272 0.2500